No. 1
Structure and theoretical powder X-ray diffraction pattern of Li4MnCo2O7 (DFT lattice parameters and positions (GGA+U); Cu Kα).
Kinematic intensities with the Lorentz-polarization factor, no thermal factor.

Most intense lines, 2θ = 10–90°, low angle first:
two_theta  intensity
18.3  1000
35.2  134
36.3  272
42.5  285
43.9  542
47.4  93
57.8  94
62.6  145
62.9  144
64.6  73

a = 17.000 Å, b = 17.000 Å, c = 5.191 Å
α = 93.99°, β = 93.99°, γ = 9.74°
Fractional positions:
Li (0.000, 0.000, 0.000)
Li (0.145, 0.145, 0.717)
Li (0.286, 0.286, 0.419)
Li (0.435, 0.435, 0.120)
Li (0.504, 0.504, 0.500)
Li (0.571, 0.571, 0.848)
Li (0.715, 0.715, 0.563)
Li (0.862, 0.862, 0.291)
Mn (0.072, 0.072, 0.363)
Mn (0.360, 0.360, 0.776)
Co (0.216, 0.216, 0.073)
Co (0.645, 0.645, 0.211)
Co (0.787, 0.787, 0.923)
Co (0.937, 0.937, 0.605)
O (0.042, 0.042, 0.643)
O (0.110, 0.110, 0.067)
O (0.180, 0.180, 0.375)
O (0.255, 0.255, 0.771)
O (0.321, 0.321, 0.056)
O (0.394, 0.394, 0.502)
O (0.464, 0.464, 0.804)
O (0.543, 0.543, 0.191)
O (0.607, 0.607, 0.511)
O (0.681, 0.681, 0.906)
O (0.752, 0.752, 0.239)
O (0.828, 0.828, 0.611)
O (0.889, 0.889, 0.949)
O (0.963, 0.963, 0.319)

***

No. 2
Structure and theoretical powder X-ray diffraction pattern of Li7Mn2Co3O12 (DFT lattice parameters and positions (GGA+U); Cu Kα).
Kinematic intensities with the Lorentz-polarization factor, no thermal factor.

Most intense lines, 2θ = 10–90°, low angle first:
two_theta  intensity
18.2  1000
35.8  419
37.4  111
43.3  892
47.4  140
57.0  149
62.6  236
63.3  246
66.5  141
79.8  110

a = 2.938 Å, b = 2.938 Å, c = 29.250 Å
α = 90.00°, β = 90.00°, γ = 120.00°
Fractional positions:
Li (0.000, 0.000, 0.000)
Li (0.000, 0.000, 0.245)
Li (0.000, 0.000, 0.755)
Li (0.333, 0.667, 0.420)
Li (0.333, 0.667, 0.920)
Li (0.667, 0.333, 0.080)
Li (0.667, 0.333, 0.580)
Mn (0.333, 0.667, 0.667)
Mn (0.667, 0.333, 0.333)
Co (0.000, 0.000, 0.500)
Co (0.333, 0.667, 0.166)
Co (0.667, 0.333, 0.834)
O (0.000, 0.000, 0.130)
O (0.000, 0.000, 0.372)
O (0.000, 0.000, 0.628)
O (0.000, 0.000, 0.870)
O (0.333, 0.667, 0.043)
O (0.333, 0.667, 0.296)
O (0.333, 0.667, 0.534)
O (0.333, 0.667, 0.794)
O (0.667, 0.333, 0.206)
O (0.667, 0.333, 0.466)
O (0.667, 0.333, 0.704)
O (0.667, 0.333, 0.957)

***

No. 3
Structure and theoretical powder X-ray diffraction pattern of Li4Mn3CoO8 (DFT lattice parameters and positions (GGA+U); Cu Kα).
Kinematic intensities with the Lorentz-polarization factor, no thermal factor.

Most intense lines, 2θ = 10–90°, low angle first:
two_theta  intensity
18.1  1000
33.2  222
36.2  121
36.4  165
37.1  87
39.6  359
44.1  248
44.6  240
61.0  161
65.2  97

a = 5.427 Å, b = 5.725 Å, c = 9.822 Å
α = 89.55°, β = 84.62°, γ = 89.71°
Fractional positions:
Li (0.242, 0.002, 0.253)
Li (0.244, 0.500, 0.249)
Li (0.244, 0.751, 0.750)
Li (0.250, 0.248, 0.749)
Li (0.750, 0.752, 0.251)
Li (0.756, 0.249, 0.250)
Li (0.756, 0.500, 0.751)
Li (0.758, 0.998, 0.747)
Mn (0.000, 0.250, 0.500)
Mn (0.000, 0.500, 0.000)
Mn (0.000, 0.750, 0.500)
Mn (0.495, 0.251, 0.002)
Mn (0.500, 0.500, 0.500)
Mn (0.505, 0.749, 0.998)
Co (0.000, 0.000, 0.000)
Co (0.500, 0.000, 0.500)
O (0.106, 0.754, 0.116)
O (0.107, 0.498, 0.616)
O (0.115, 0.998, 0.614)
O (0.116, 0.259, 0.120)
O (0.370, 0.002, 0.890)
O (0.387, 0.501, 0.885)
O (0.393, 0.247, 0.385)
O (0.393, 0.755, 0.385)
O (0.607, 0.245, 0.615)
O (0.607, 0.753, 0.615)
O (0.613, 0.499, 0.115)
O (0.630, 0.998, 0.110)
O (0.884, 0.741, 0.880)
O (0.885, 0.002, 0.386)
O (0.893, 0.502, 0.384)
O (0.894, 0.246, 0.884)

***

No. 4
Structure and theoretical powder X-ray diffraction pattern of Li7Mn2Co3O12 (DFT lattice parameters and positions (GGA+U); Cu Kα).
Kinematic intensities with the Lorentz-polarization factor, no thermal factor.

Most intense lines, 2θ = 10–90°, low angle first:
two_theta  intensity
18.2  1000
35.8  275
36.4  117
37.6  100
43.2  586
44.2  260
47.7  84
56.8  114
63.1  150
63.9  134

a = 8.198 Å, b = 2.941 Å, c = 9.789 Å
α = 90.00°, β = 113.82°, γ = 90.00°
Fractional positions:
Li (0.000, 0.000, 0.000)
Li (0.006, 0.500, 0.514)
Li (0.167, 0.500, 0.831)
Li (0.333, 0.000, 0.682)
Li (0.523, 0.500, 0.523)
Li (0.700, 0.000, 0.358)
Li (0.844, 0.500, 0.185)
Mn (0.169, 0.000, 0.350)
Mn (0.348, 0.500, 0.180)
Co (0.522, 0.000, 0.005)
Co (0.682, 0.500, 0.834)
Co (0.856, 0.000, 0.666)
O (0.084, 0.000, 0.684)
O (0.116, 0.500, 0.197)
O (0.252, 0.500, 0.488)
O (0.275, 0.000, 0.036)
O (0.409, 0.000, 0.325)
O (0.436, 0.500, 0.855)
O (0.572, 0.500, 0.170)
O (0.599, 0.000, 0.686)
O (0.747, 0.000, 0.008)
O (0.760, 0.500, 0.518)
O (0.915, 0.500, 0.846)
O (0.946, 0.000, 0.340)

***

No. 5
Structure and theoretical powder X-ray diffraction pattern of Li7Mn4CoO12 (DFT lattice parameters and positions (GGA+U); Cu Kα).
Kinematic intensities with the Lorentz-polarization factor, no thermal factor.

Most intense lines, 2θ = 10–90°, low angle first:
two_theta  intensity
11.8  92
18.3  1000
35.4  147
36.1  251
42.7  305
43.8  284
43.9  283
47.4  82
62.8  77
63.0  77

a = 5.055 Å, b = 5.922 Å, c = 7.759 Å
α = 79.40°, β = 77.28°, γ = 74.58°
Fractional positions:
Li (0.000, 0.000, 0.000)
Li (0.005, 0.162, 0.319)
Li (0.015, 0.486, 0.006)
Li (0.494, 0.667, 0.837)
Li (0.502, 0.997, 0.496)
Li (0.509, 0.334, 0.157)
Li (0.995, 0.835, 0.673)
Mn (0.001, 0.329, 0.667)
Mn (0.007, 0.659, 0.329)
Mn (0.496, 0.166, 0.836)
Mn (0.500, 0.833, 0.163)
Co (0.509, 0.494, 0.495)
O (0.224, 0.346, 0.425)
O (0.249, 0.472, 0.748)
O (0.250, 0.032, 0.742)
O (0.251, 0.668, 0.102)
O (0.251, 0.819, 0.400)
O (0.272, 0.174, 0.063)
O (0.710, 0.861, 0.917)
O (0.747, 0.330, 0.892)
O (0.754, 0.172, 0.602)
O (0.761, 0.957, 0.257)
O (0.778, 0.498, 0.253)
O (0.789, 0.640, 0.575)

***

No. 6
Structure and theoretical powder X-ray diffraction pattern of Li7Mn2Co3O12 (DFT lattice parameters and positions (GGA+U); Cu Kα).
Kinematic intensities with the Lorentz-polarization factor, no thermal factor.

Most intense lines, 2θ = 10–90°, low angle first:
two_theta  intensity
11.9  84
18.3  1000
35.7  141
36.0  131
36.4  123
43.1  297
43.7  283
44.1  275
62.8  77
63.1  77

a = 5.065 Å, b = 5.910 Å, c = 7.735 Å
α = 78.62°, β = 76.82°, γ = 74.24°
Fractional positions:
Li (0.000, 0.000, 0.000)
Li (0.000, 0.500, 0.000)
Li (0.004, 0.338, 0.670)
Li (0.492, 0.170, 0.835)
Li (0.500, 0.500, 0.500)
Li (0.508, 0.830, 0.165)
Li (0.996, 0.662, 0.330)
Mn (0.500, 0.339, 0.165)
Mn (0.500, 0.661, 0.835)
Co (0.002, 0.824, 0.674)
Co (0.500, 0.000, 0.500)
Co (0.998, 0.176, 0.326)
O (0.245, 0.850, 0.432)
O (0.252, 0.174, 0.103)
O (0.261, 0.329, 0.404)
O (0.264, 0.516, 0.753)
O (0.266, 0.974, 0.756)
O (0.282, 0.647, 0.076)
O (0.718, 0.353, 0.924)
O (0.734, 0.026, 0.244)
O (0.736, 0.484, 0.247)
O (0.739, 0.671, 0.596)
O (0.748, 0.826, 0.897)
O (0.755, 0.150, 0.568)

***

No. 7
Structure and theoretical powder X-ray diffraction pattern of Li5Mn2CoO8 (DFT lattice parameters and positions (GGA+U); Cu Kα).
Kinematic intensities with the Lorentz-polarization factor, no thermal factor.

Most intense lines, 2θ = 10–90°, low angle first:
two_theta  intensity
18.1  208
18.6  1000
23.4  115
35.3  127
36.7  235
42.6  313
44.7  527
59.0  92
63.4  292
65.3  70

a = 5.872 Å, b = 5.872 Å, c = 5.134 Å
α = 108.85°, β = 108.85°, γ = 58.22°
Fractional positions:
Li (0.000, 0.000, 0.000)
Li (0.000, 0.500, 0.000)
Li (0.249, 0.249, 0.495)
Li (0.500, 0.000, 0.000)
Li (0.751, 0.751, 0.505)
Mn (0.249, 0.751, 0.500)
Mn (0.751, 0.249, 0.500)
Co (0.500, 0.500, 0.000)
O (0.117, 0.117, 0.718)
O (0.157, 0.632, 0.745)
O (0.368, 0.843, 0.255)
O (0.381, 0.381, 0.274)
O (0.619, 0.619, 0.726)
O (0.632, 0.157, 0.745)
O (0.843, 0.368, 0.255)
O (0.883, 0.883, 0.282)

***

No. 8
Structure and theoretical powder X-ray diffraction pattern of Li2MnCo3O8 (DFT lattice parameters and positions (GGA+U); Cu Kα).
Kinematic intensities with the Lorentz-polarization factor, no thermal factor.

Most intense lines, 2θ = 10–90°, low angle first:
two_theta  intensity
19.4  717
20.5  1000
34.5  226
37.2  261
37.3  252
37.9  566
41.8  249
47.4  214
47.6  399
65.9  254

a = 5.671 Å, b = 5.671 Å, c = 9.163 Å
α = 90.14°, β = 90.14°, γ = 119.90°
Fractional positions:
Li (0.001, 0.999, 0.500)
Li (0.332, 0.667, 0.602)
Li (0.667, 0.332, 0.102)
Li (0.999, 0.001, 0.000)
Mn (0.328, 0.660, 0.013)
Mn (0.660, 0.328, 0.513)
Co (0.170, 0.339, 0.285)
Co (0.170, 0.829, 0.285)
Co (0.339, 0.170, 0.785)
Co (0.661, 0.830, 0.288)
Co (0.829, 0.170, 0.785)
Co (0.830, 0.661, 0.788)
O (0.038, 0.518, 0.159)
O (0.159, 0.830, 0.895)
O (0.164, 0.329, 0.899)
O (0.329, 0.164, 0.399)
O (0.333, 0.666, 0.390)
O (0.482, 0.521, 0.161)
O (0.482, 0.958, 0.161)
O (0.518, 0.038, 0.659)
O (0.521, 0.482, 0.661)
O (0.666, 0.333, 0.890)
O (0.670, 0.830, 0.894)
O (0.830, 0.159, 0.395)
O (0.830, 0.670, 0.394)
O (0.958, 0.482, 0.661)
O (0.997, 0.998, 0.190)
O (0.998, 0.997, 0.690)

***

No. 9
Structure and theoretical powder X-ray diffraction pattern of Li3MnCoO5 (DFT lattice parameters and positions (GGA+U); Cu Kα).
Kinematic intensities with the Lorentz-polarization factor, no thermal factor.

Most intense lines, 2θ = 10–90°, low angle first:
two_theta  intensity
10.8  207
18.0  1000
34.4  185
36.0  250
41.3  365
43.7  601
46.7  108
61.5  180
61.8  180
64.3  122

a = 3.006 Å, b = 3.006 Å, c = 24.651 Å
α = 91.49°, β = 91.49°, γ = 57.60°
Fractional positions:
Li (0.000, 0.000, 0.000)
Li (0.097, 0.097, 0.297)
Li (0.309, 0.309, 0.902)
Li (0.500, 0.500, 0.500)
Li (0.691, 0.691, 0.098)
Li (0.903, 0.903, 0.703)
Mn (0.201, 0.201, 0.601)
Mn (0.799, 0.799, 0.399)
Co (0.399, 0.399, 0.200)
Co (0.601, 0.601, 0.800)
O (0.051, 0.051, 0.157)
O (0.173, 0.173, 0.446)
O (0.250, 0.250, 0.754)
O (0.351, 0.351, 0.051)
O (0.428, 0.428, 0.354)
O (0.572, 0.572, 0.646)
O (0.649, 0.649, 0.949)
O (0.750, 0.750, 0.246)
O (0.827, 0.827, 0.554)
O (0.949, 0.949, 0.843)